Structure and theoretical X-ray diffraction stick pattern of PmTm3Co2 (DFT lattice parameters and positions (GGA-PBE); Cu Kα (weighted mean of Kα1 and Kα2)).

Largest 10 diffraction maxima, low angle first, 2θ = 15–90°:
d (Å)  intensity  hkl
3.470  17.8  4 0 0
3.085  36.9  1 1 -2
2.930  52.0  3 1 -2
2.836  21.1  2 0 2
2.720  82.1  1 1 2
2.565  100.0  5 1 -1
2.515  20.8  4 0 -3
2.456  69.8  0 2 0
2.199  24.5  3 1 2
1.438  29.8  5 3 -1

Cell: 15.038 4.912 7.996 Å, 90.00 112.65 90.00°
Space group C2/m (No. 12)
Symmetry-distinct sites (fractional):
Pm1 0.132 0.000 0.220 [4 per cell]
Tm1 0.068 0.000 0.731 [4 per cell]
Tm2 0.131 0.500 0.509 [4 per cell]
Tm3 0.181 0.500 0.995 [4 per cell]
Co1 0.005 0.500 0.151 [4 per cell]
Co2 0.224 0.000 0.632 [4 per cell]